(1)
# Nd10Ge3As3
Computed powder XRD pattern, λ = 1.5418 Å (Cu Kα). Input: the GGA-PBE geometry in Alexandria.

```
Nd10Ge3As3
1.0
8.8898 0.0000 0.0000
-4.4449 7.6988 0.0000
0.0000 0.0000 6.4849
Nd Ge As
10 3 3
Cartesian
-1.1059 1.9154 0.0000
-3.3350 5.7763 3.2425
2.2117 0.0000 0.0000
1.1099 1.9225 3.2425
0.0000 5.1325 1.6122
0.0000 5.1325 4.8727
4.4449 2.5663 1.6122
4.4449 2.5663 4.8727
6.6699 0.0000 3.2425
3.3390 5.7834 0.0000
-1.7233 2.9849 3.2425
3.4466 0.0000 3.2425
2.7216 4.7139 3.2425
-2.7370 4.7406 0.0000
1.7079 2.9582 0.0000
5.4740 0.0000 0.0000
```

Main lines, low angle first (2θ = 10–90°):
two_theta  d_spacing  I (rel.)
29.90  2.988  30
30.73  2.910  39
33.76  2.655  100
34.23  2.620  96
34.96  2.566  55
52.75  1.735  28

***

(2)
# Zr6TlHg
Computed powder XRD pattern, λ = 1.5418 Å (Cu Kα). Input: the GGA-PBE geometry in Alexandria.

```
Zr6TlHg
1.0
5.6300 0.0000 0.0000
0.0000 5.6300 0.0000
0.0000 0.0000 5.6300
Zr Tl Hg
6 1 1
Cartesian
0.0000 1.3978 2.8150
0.0000 4.2322 2.8150
1.3978 2.8150 0.0000
2.8150 0.0000 1.3978
2.8150 0.0000 4.2322
4.2322 2.8150 0.0000
2.8150 2.8150 2.8150
0.0000 0.0000 0.0000
```

Main lines, low angle first (2θ = 10–90°):
two_theta  d_spacing  I (rel.)
22.33  3.981  26
31.79  2.815  44
35.66  2.518  52
39.19  2.298  100
61.64  1.505  53
75.52  1.259  15

***

(3)
# CsHg6Au3
Computed powder XRD pattern, λ = 1.5418 Å (Cu Kα). Input: the GGA-PBE geometry in Alexandria.

```
CsHg6Au3
1.0
7.4150 0.0000 0.0000
3.5034 6.5810 0.0000
3.6893 2.1775 6.1113
Cs Hg Au
1 6 3
Cartesian
0.0000 0.0000 0.0000
2.8040 2.5650 0.1247
7.0874 5.9292 3.4254
7.2563 6.3760 0.2920
5.7265 3.4443 0.0195
7.2972 1.8797 3.3569
10.7139 4.3228 3.0820
4.6506 1.8270 2.2978
8.2138 3.9622 1.6528
11.9554 6.2429 4.7762
```

Main lines, low angle first (2θ = 10–90°):
two_theta  d_spacing  I (rel.)
24.02  3.706  57
27.58  3.234  100
28.06  3.180  70
37.25  2.414  77
38.04  2.366  98
41.39  2.182  62

***

(4)
# PmHo14Mg
Computed powder XRD pattern, λ = 1.5418 Å (Cu Kα). Input: the GGA-PBE geometry in Alexandria.

```
PmHo14Mg
1.0
7.0190 0.0000 0.0000
0.0000 7.0190 0.0000
0.0000 0.0000 9.9586
Pm Ho Mg
1 14 1
Cartesian
0.0000 0.0000 0.0000
0.0000 0.0000 4.9793
0.0000 3.5095 0.0000
0.0000 3.5095 4.9793
1.7497 1.7497 2.4950
1.7497 1.7497 7.4636
1.7497 5.2693 2.4950
1.7497 5.2693 7.4636
3.5095 0.0000 0.0000
3.5095 0.0000 4.9793
3.5095 3.5095 4.9793
5.2693 1.7497 2.4950
5.2693 1.7497 7.4636
5.2693 5.2693 2.4950
5.2693 5.2693 7.4636
3.5095 3.5095 0.0000
```

Main lines, low angle first (2θ = 10–90°):
two_theta  d_spacing  I (rel.)
31.18  2.869  100
36.08  2.490  17
36.20  2.482  34
52.06  1.757  36
61.83  1.500  14
62.00  1.497  28

***

(5)
# Mn2H4Os
Computed powder XRD pattern, λ = 1.5418 Å (Cu Kα). Input: the GGA-PBE geometry in Alexandria.

```
Mn2H4Os
1.0
-1.7119 1.7119 5.1830
1.7119 -1.7119 5.1830
1.7119 1.7119 -5.1830
Mn H Os
2 4 1
Cartesian
0.0000 0.0000 1.6422
0.0000 0.0000 8.7237
1.7119 0.0000 0.0000
0.0000 0.0000 3.4466
0.0000 1.7119 0.0000
0.0000 0.0000 6.9193
0.0000 0.0000 5.1830
```

Main lines, low angle first (2θ = 10–90°):
two_theta  d_spacing  I (rel.)
17.11  5.183  38
27.43  3.251  40
36.96  2.432  100
37.14  2.421  51
53.53  1.712  18
66.83  1.400  34

***

(6)
# K2GeSe4
Computed powder XRD pattern, λ = 1.5418 Å (Cu Kα). Input: the GGA-PBE geometry in Alexandria.

```
K2GeSe4
1.0
12.1794 0.0000 0.0000
0.0000 8.4063 0.0000
-2.5298 0.0000 8.9053
K Ge Se
8 4 16
Cartesian
-0.0229 0.6495 2.0178
-1.2878 3.5537 6.4704
2.4125 0.7433 6.1784
3.6774 3.4599 1.7257
5.9722 4.9464 7.1796
7.2371 7.6631 2.7270
10.9374 4.8526 2.4349
9.6725 7.7569 6.8876
1.7490 5.3614 4.8517
3.0139 7.2481 0.3990
6.6357 1.1582 8.5063
7.9006 3.0450 4.0536
1.4252 5.5859 0.2839
0.1603 7.0236 4.7365
-0.0133 1.0218 8.6055
1.2516 3.1813 4.1529
2.3505 4.6433 7.1283
3.6154 7.9662 2.6756
3.9834 6.0410 4.0227
2.7185 6.5685 8.4754
6.9312 1.8379 0.4300
5.6663 2.3653 4.8826
6.0342 0.4401 6.2298
7.2991 3.7630 1.7771
8.3981 5.2250 4.7525
9.6630 7.3845 0.2998
9.4894 1.3827 4.1688
8.2245 2.8204 8.6215
```

Main lines, low angle first (2θ = 10–90°):
two_theta  d_spacing  I (rel.)
12.96  6.830  93
25.53  3.490  99
25.91  3.439  94
29.22  3.056  66
29.47  3.031  100
31.28  2.859  72

***

(7)
# LiInGe
Computed powder XRD pattern, λ = 1.5418 Å (Cu Kα). Input: the GGA-PBE geometry in Alexandria.

```
LiInGe
1.0
2.4804 -4.6744 0.0000
2.4804 4.6744 0.0000
-2.3418 0.0000 5.2021
Li In Ge
2 2 2
Cartesian
0.7240 3.6544 3.9016
1.8950 -3.6544 1.3005
1.8950 2.6962 1.3005
0.7240 -2.6962 3.9016
0.7240 0.3721 3.9016
1.8950 -0.3721 1.3005
```

Main lines, low angle first (2θ = 10–90°):
two_theta  d_spacing  I (rel.)
22.20  4.004  100
25.62  3.477  61
34.48  2.601  76
34.96  2.566  68
35.21  2.549  76
39.86  2.262  51